Simulated powder diffractogram of La6CN3 for Cu Kα (λ = 1.5418 Å), from DFT lattice parameters and positions (PBE).
Lines closer than 0.1° are merged.

```
10
Lattice="4.9189 -6.3724 0.0000 4.9189 6.3724 0.0000 0.0000 0.0000 3.7893" Properties=species:S:1:pos:R:3 pbc="T T T"
La 4.9189 4.5921 0.0000
La 3.1896 1.6832 1.8947
La 3.1896 -1.6832 1.8947
La 6.6483 1.6832 1.8947
La 6.6483 -1.6832 1.8947
La 4.9189 -4.5921 0.0000
C 0.0000 0.0000 1.8947
N 2.4595 3.1862 0.0000
N 2.4595 -3.1862 0.0000
N 4.9189 0.0000 1.8947
```

Peak list (10 most intense, 10 to 90 degrees two-theta, sorted by position)
- 26.2°, intensity 51
- 28.1°, intensity 100
- 29.8°, intensity 46
- 33.0°, intensity 45
- 34.6°, intensity 46
- 41.3°, intensity 49
- 56.5°, intensity 28
- 57.9°, intensity 20
- 60.5°, intensity 18
- 78.5°, intensity 16

Simulated powder diffractogram of PmDyTh2Bi4 for Cu Kα (λ = 1.5418 Å), from DFT lattice parameters and positions (PBE).
Lines closer than 0.1° are merged.

```
8
Lattice="7.8779 0.0000 0.0000 0.0000 4.5743 0.0000 -2.6629 0.0000 7.4569" Properties=species:S:1:pos:R:3 pbc="T T T"
Pm 0.0000 0.0000 0.0000
Dy -1.3314 2.2871 3.7285
Th 2.6075 0.0000 3.7285
Th 3.9389 2.2871 0.0000
Bi -0.0674 0.0000 5.5534
Bi 1.2641 2.2871 1.8754
Bi 3.9509 2.2871 5.5815
Bi 5.2824 0.0000 1.9035
```

Peak list (10 most intense, 10 to 90 degrees two-theta, sorted by position)
- 27.6°, intensity 100
- 39.4°, intensity 40
- 39.6°, intensity 39
- 48.8°, intensity 22
- 49.1°, intensity 7
- 57.1°, intensity 14
- 64.5°, intensity 19
- 64.7°, intensity 19
- 71.5°, intensity 7
- 71.6°, intensity 14

Simulated powder diffractogram of NaCuPSe4 for Cu Kα (λ = 1.5418 Å), from DFT lattice parameters and positions (PBE).
Lines closer than 0.1° are merged.

```
7
Lattice="-3.4161 3.4161 4.1493 3.4161 -3.4161 4.1493 3.4161 3.4161 -4.1493" Properties=species:S:1:pos:R:3 pbc="T T T"
Na 0.0000 0.0000 0.0000
Cu 0.0000 0.0000 4.1493
P 3.4161 0.0000 2.0747
Se 1.8290 -1.1756 3.1448
Se 2.2406 1.5871 1.0045
Se 1.5871 4.5917 -1.0045
Se 1.1756 1.8290 5.1539
```

Peak list (10 most intense, 10 to 90 degrees two-theta, sorted by position)
- 16.8°, intensity 64
- 28.4°, intensity 100
- 31.2°, intensity 32
- 37.2°, intensity 23
- 44.2°, intensity 21
- 47.4°, intensity 19
- 49.3°, intensity 26
- 51.5°, intensity 26
- 52.0°, intensity 9
- 56.6°, intensity 12

Simulated powder diffractogram of Nd4AsSe4 for Cu Kα (λ = 1.5418 Å), from DFT lattice parameters and positions (PBE).
Lines closer than 0.1° are merged.

```
9
Lattice="7.0651 -2.1276 0.0000 7.0651 2.1276 0.0000 -5.3032 0.0000 9.0490" Properties=species:S:1:pos:R:3 pbc="T T T"
Nd -0.7805 0.0000 3.5861
Nd 3.1180 0.0000 1.7933
Nd 5.7089 0.0000 7.2557
Nd 9.6075 0.0000 5.4629
As 4.4135 0.0000 4.5245
Se -3.2349 0.0000 8.0953
Se 0.5571 0.0000 6.3063
Se 8.2699 0.0000 2.7427
Se 12.0619 0.0000 0.9537
```

Peak list (10 most intense, 10 to 90 degrees two-theta, sorted by position)
- 12.8°, intensity 10
- 25.7°, intensity 9
- 29.6°, intensity 100
- 30.0°, intensity 48
- 42.2°, intensity 18
- 42.5°, intensity 55
- 42.7°, intensity 35
- 52.3°, intensity 10
- 52.8°, intensity 30
- 61.4°, intensity 12

Simulated powder diffractogram of Ba8PdN2 for Cu Kα (λ = 1.5418 Å), from DFT lattice parameters and positions (PBE).
Lines closer than 0.1° are merged.

```
11
Lattice="7.5008 -5.2632 0.0000 7.5008 5.2632 0.0000 -0.1738 0.0000 7.4336" Properties=species:S:1:pos:R:3 pbc="T T T"
Ba 5.7054 3.2584 5.4909
Ba 2.3911 0.0000 5.9081
Ba 9.1224 3.2584 1.9427
Ba 5.2296 0.0000 1.7298
Ba 9.5982 0.0000 5.7038
Ba 5.7054 -3.2584 5.4909
Ba 12.4367 0.0000 1.5255
Ba 9.1224 -3.2584 1.9427
Pd -0.0869 0.0000 3.7168
N 2.8783 0.0000 1.0035
N 11.9495 0.0000 6.4301
```

Peak list (10 most intense, 10 to 90 degrees two-theta, sorted by position)
- 10.3°, intensity 31
- 15.9°, intensity 11
- 23.3°, intensity 15
- 23.7°, intensity 100
- 24.0°, intensity 66
- 26.9°, intensity 13
- 33.6°, intensity 18
- 39.5°, intensity 11
- 39.9°, intensity 13
- 41.8°, intensity 11